Starting from a cell relaxed with GGA-PBE, the XRD peak list of Tl2H6N2O was calculated for Cu Kα (weighted mean of Kα1 and Kα2).

Peak list (6 most intense, 2θ from 10° to 80°, low angle first)
2theta	d/Å	I_rel	h k l
14.22	6.228	50	2 0 -1
15.57	5.693	100	2 0 0
25.95	3.433	46	0 0 2
26.25	3.395	73	1 1 0
34.18	2.623	41	1 1 -2
40.10	2.249	37	1 1 2

Crystal structure
```
data_Tl2H6N2O
_chemical_formula_sum 'Tl4 H12 N4 O2'
_symmetry_space_group_name_H-M 'C 1 2/m 1'
_symmetry_Int_Tables_number 12
_cell_length_a 13.2704
_cell_length_b 3.5566
_cell_length_c 8.0027
_cell_angle_alpha 90.00
_cell_angle_beta 120.91
_cell_angle_gamma 90.00
loop_
_symmetry_equiv_pos_as_xyz
'x,y,z'
'-x,-y,-z'
'-x,y,-z'
'x,-y,z'
'x+1/2,y+1/2,z'
'-x+1/2,-y+1/2,-z'
'-x+1/2,y+1/2,-z'
'x+1/2,-y+1/2,z'
loop_
_atom_site_label
_atom_site_type_symbol
_atom_site_fract_x
_atom_site_fract_y
_atom_site_fract_z
_atom_site_occupancy
Tl1 Tl 0.0367 0.0000 0.2405 1
H1 H 0.1694 0.5000 0.6803 1
H2 H 0.2150 0.2298 0.1428 1
N1 N 0.2412 0.0000 0.2318 1
O1 O 0.0000 0.5000 0.0000 1
```